No. 1
This entry pairs a crystal structure of Nb3Cl6O8 with its calculated powder X-ray diffraction pattern. Radiation: Cu Kα (λ = 1.5418 Å). Structure: a GGA-PBE-relaxed structure.

Principal peaks in the range 2θ from 15° to 90°, by angle:
hkl  d (Å)  two_theta  I (rel.)
2 0 0  4.435  20.02  100
2 2 2  4.192  21.20  42
0 2 -2  4.136  21.48  81
1 0 -2  3.807  23.37  35
2 3 0  3.718  23.93  39
2 3 -1  3.333  26.74  37
0 1 3  3.137  28.45  53
0 3 1  3.081  28.98  53
1 -3 0  2.780  32.20  40
3 -1 4  2.480  36.23  44

Atomic structure:
a b c (Å): 11.2578 11.7613 11.9883
angles (deg): 88.35 64.15 63.42
Space group P1 (No. 1)
Inequivalent atoms, fractional coordinates:
Nb 0.0000 0.0000 0.0000
Nb 0.0023 0.0085 0.7358
Nb 0.0059 0.7305 0.0042
Nb 0.0091 0.7396 0.7408
Nb 0.2918 0.7496 0.7530
Nb 0.7152 0.9937 0.9918
Cl 0.0791 0.8284 0.4024
Cl 0.0857 0.3885 0.8219
Cl 0.4364 0.8038 0.8098
Cl 0.4466 0.4028 0.8233
Cl 0.4483 0.8191 0.3995
Cl 0.4519 0.4450 0.4447
Cl 0.5594 0.3010 0.2958
Cl 0.5623 0.9168 0.3375
Cl 0.5661 0.9449 0.9376
Cl 0.5665 0.3321 0.9152
Cl 0.9150 0.3548 0.9254
Cl 0.9310 0.9129 0.3380
O 0.0018 0.1147 0.6324
O 0.0057 0.6240 0.1074
O 0.0147 0.6353 0.6373
O 0.1382 0.9794 0.8151
O 0.1404 0.8105 0.9788
O 0.1622 0.8136 0.6570
O 0.1641 0.6518 0.8132
O 0.4474 0.6257 0.6284
O 0.5077 0.1300 0.6215
O 0.5158 0.6180 0.1289
O 0.5645 0.1178 0.1185
O 0.8449 0.0880 0.9276
O 0.8478 0.9257 0.0845
O 0.8690 0.9286 0.7610
O 0.8699 0.7610 0.9258
O 0.9949 0.1041 0.1034


No. 2
This entry pairs a crystal structure of NbCl3O with its calculated powder X-ray diffraction pattern. Radiation: Cu Kα (λ = 1.5418 Å). Structure: a GGA-PBE-relaxed structure.

Principal peaks in the range 2θ from 15° to 90°, by angle:
hkl  d (Å)  two_theta  I (rel.)
2 1 0  5.281  16.79  100
1 0 1  3.678  24.20  80
1 1 1  3.511  25.37  30
4 0 0  2.952  30.28  62
5 1 0  2.316  38.89  25
4 1 1  2.302  39.13  21
5 0 1  2.016  44.97  40
0 0 2  1.935  46.95  14
5 4 1  1.665  55.17  21
4 0 2  1.618  56.89  18

Atomic structure:
a b c (Å): 11.8078 11.8078 3.8703
angles (deg): 90.00 90.00 90.00
Space group P4_2/mnm (No. 136)
Inequivalent atoms, fractional coordinates:
Nb 0.1202 0.1202 0.0000
Cl 0.0977 0.9023 0.0000
Cl 0.0995 0.3138 0.0000
O 0.1087 0.1087 0.5000


No. 3
This entry pairs a crystal structure of NbPCl8O with its calculated powder X-ray diffraction pattern. Radiation: Cu Kα (λ = 1.5418 Å). Structure: a GGA-PBE-relaxed structure.

Principal peaks in the range 2θ from 15° to 90°, by angle:
hkl  d (Å)  two_theta  I (rel.)
3 0 1  4.862  18.25  58
1 0 2  4.478  19.82  54
0 2 0  4.311  20.60  66
1 1 2  3.974  22.37  100
3 0 2  3.600  24.73  47
4 2 0  3.039  29.39  42
5 0 2  2.756  32.49  78
1 3 1  2.711  33.05  63
4 1 3  2.408  37.34  45
4 3 3  1.889  48.17  46

Atomic structure:
a b c (Å): 17.1248 8.6223 9.2797
angles (deg): 90.00 90.00 90.00
Space group Pnma (No. 62)
Inequivalent atoms, fractional coordinates:
Nb 0.1476 0.2500 0.0842
P 0.0765 0.2500 0.7165
Cl 0.0263 0.2500 0.2022
Cl 0.0317 0.7500 0.3594
Cl 0.1288 0.0662 0.6310
Cl 0.1397 0.5204 0.0575
Cl 0.2220 0.2500 0.2893
Cl 0.2411 0.7500 0.4287
O 0.0770 0.2500 0.8768


No. 4
This entry pairs a crystal structure of Pr3NbCl3O6 with its calculated powder X-ray diffraction pattern. Radiation: Cu Kα (λ = 1.5418 Å). Structure: a GGA-PBE-relaxed structure.

Principal peaks in the range 2θ from 15° to 90°, by angle:
hkl  d (Å)  two_theta  I (rel.)
1 1 1  3.567  24.96  82
2 0 1  3.276  27.22  49
1 2 0  3.127  28.54  51
2 1 1  2.702  33.16  100
0 0 2  2.682  33.41  32
1 2 2  2.036  44.50  57
4 0 1  1.930  47.09  17
3 0 2  1.923  47.27  17
2 3 1  1.789  51.04  38
2 1 3  1.552  59.56  18

Atomic structure:
a b c (Å): 9.5543 9.5543 5.3641
angles (deg): 90.00 90.00 120.00
Space group P6_3/m (No. 176)
Inequivalent atoms, fractional coordinates:
Pr 0.0905 0.4032 0.2500
Nb 0.3333 0.6667 0.7500
Cl 0.0502 0.2401 0.7500
O 0.1573 0.6362 0.5120


No. 5
This entry pairs a crystal structure of Rb2Nb3Cl7O5 with its calculated powder X-ray diffraction pattern. Radiation: Cu Kα (λ = 1.5418 Å). Structure: a GGA-PBE-relaxed structure.

Principal peaks in the range 2θ from 15° to 90°, by angle:
hkl  d (Å)  two_theta  I (rel.)
1 -2 2  4.177  21.27  50
1 0 2  4.068  21.85  48
0 2 0  4.029  22.06  38
2 0 0  3.936  22.59  36
2 0 -2  3.465  25.71  100
2 -1 2  3.433  25.95  77
0 1 -4  2.829  31.63  53
0 3 0  2.686  33.35  61
2 2 -2  2.407  37.35  32
2 1 2  2.355  38.22  39

Atomic structure:
a b c (Å): 9.0367 9.7514 11.3240
angles (deg): 108.65 90.00 117.60
Space group P1 (No. 1)
Inequivalent atoms, fractional coordinates:
Rb 0.0000 0.0000 0.0000
Rb 0.0845 0.9929 0.4958
Rb 0.5988 0.1938 0.7865
Rb 0.6824 0.1894 0.2820
Nb 0.0472 0.5819 0.6672
Nb 0.0599 0.6032 0.1169
Nb 0.3055 0.5956 0.3956
Nb 0.3755 0.5882 0.8877
Nb 0.6280 0.5833 0.1651
Nb 0.6355 0.5995 0.6188
Cl 0.1218 0.2939 0.3140
Cl 0.1956 0.8894 0.7681
Cl 0.2023 0.9003 0.1878
Cl 0.2565 0.2911 0.8090
Cl 0.4142 0.8901 0.4696
Cl 0.4795 0.2984 0.5150
Cl 0.4835 0.2876 0.1011
Cl 0.5580 0.8930 0.9699
Cl 0.7526 0.5966 0.3896
Cl 0.7779 0.8951 0.6831
Cl 0.7833 0.8971 0.2668
Cl 0.8915 0.2857 0.5997
Cl 0.9009 0.2885 0.0146
Cl 0.9313 0.5941 0.8951
O 0.1255 0.5904 0.5245
O 0.1291 0.5960 0.2665
O 0.2346 0.5964 0.0151
O 0.2427 0.5934 0.7694
O 0.4377 0.5861 0.2627
O 0.4405 0.5965 0.5132
O 0.5493 0.5856 0.0161
O 0.5486 0.5952 0.7626
O 0.8355 0.5933 0.6409
O 0.8458 0.5924 0.1398